Simulated powder diffractogram
Compound: UPa6Se12
Radiation: Cu Kα (λ = 1.5418 Å)
Structure: a PBE-relaxed structure
No peak broadening, texture or thermal motion is included.

Cell and atoms:
a = 12.6972 Å, b = 12.6972 Å, c = 11.5716 Å
α = 90.00°, β = 90.00°, γ = 120.00°
Space group R-3 (No. 148, hexagonal axes)
Asymmetric unit:
U (0.0000, 0.0000, 0.0000)
Pa (0.0495, 0.7749, 0.6401)
Se (0.0341, 0.8228, 0.3884)
Se (0.0524, 0.8419, 0.8795)

The 10 most intense peaks (10° ≤ 2θ ≤ 90°), low angle first:
22.73°, rel. 100, hkl 3 -1 1
23.06°, rel. 28, hkl 0 0 3
30.31°, rel. 14, hkl 4 -3 1
33.21°, rel. 24, hkl 4 -1 2
37.48°, rel. 52, hkl 4 1 0
37.89°, rel. 44, hkl 3 -1 4
38.95°, rel. 13, hkl 2 3 2
43.10°, rel. 13, hkl 4 -3 4
44.29°, rel. 19, hkl 6 -4 1
44.47°, rel. 19, hkl 4 1 3